1.
Computed powder XRD pattern of CeCuGeH for Cu Kα, 1.54184 Å, from a crystal structure in the Materials Project, relaxed with PBE.
No peak broadening, texture or thermal motion is included.

Main lines, low angle first (2θ = 10–80°):
Position (°2θ)	I/Imax
24.73	10
33.00	100
43.55	42
43.80	12
50.95	6
55.71	22
63.48	22
73.25	19
73.62	9
79.96	7

a = 4.1562 Å, b = 4.1562 Å, c = 8.2666 Å
α = 90.00°, β = 90.00°, γ = 120.00°
Space group P-3m1 (No. 164)
Asymmetric unit:
Ce 0.0000 0.0000 0.0000
Ce 0.0000 0.0000 0.5000
Cu 0.3333 0.6667 0.2442
Ge 0.3333 0.6667 0.7178
H 0.3333 0.6667 0.0420


2.
Computed powder XRD pattern of Ce3CuGeS7 for Cu Kα, 1.54184 Å, from a crystal structure in the Materials Project, relaxed with PBE.
No peak broadening, texture or thermal motion is included.

Main lines, low angle first (2θ = 10–80°):
Position (°2θ)	I/Imax
23.12	31
25.25	100
26.71	25
30.49	29
35.20	46
36.69	39
39.89	33
40.96	43
47.23	30
48.42	23

a = 10.1979 Å, b = 10.1979 Å, c = 5.8637 Å
α = 90.00°, β = 90.00°, γ = 120.00°
Space group P6_3 (No. 173)
Asymmetric unit:
Ce 0.1267 0.7701 0.0000
Cu 0.0000 0.0000 0.4723
Ge 0.3333 0.6667 0.5809
S 0.0890 0.8381 0.4846
S 0.1028 0.5198 0.7355
S 0.3333 0.6667 0.2036


3.
Computed powder XRD pattern of CeCu2SiGe for Cu Kα, 1.54184 Å, from a crystal structure in the Materials Project, relaxed with PBE.
No peak broadening, texture or thermal motion is included.

Main lines, low angle first (2θ = 10–80°):
Position (°2θ)	I/Imax
23.32	17
34.62	57
35.63	100
43.86	48
50.78	21
57.04	27
63.76	15
64.45	13
69.31	17
75.23	21

a = 4.1284 Å, b = 4.1284 Å, c = 9.9854 Å
α = 90.00°, β = 90.00°, γ = 90.00°
Space group I4mm (No. 107)
Asymmetric unit:
Ce 0.0000 0.0000 0.0000
Cu 0.0000 0.5000 0.2438
Si 0.0000 0.0000 0.6230
Ge 0.0000 0.0000 0.3800


4.
Computed powder XRD pattern of Ce2InCu2 for Cu Kα, 1.54184 Å, from a crystal structure in the Materials Project, relaxed with PBE.
No peak broadening, texture or thermal motion is included.

Main lines, low angle first (2θ = 10–80°):
Position (°2θ)	I/Imax
28.29	20
33.83	75
35.62	27
37.26	100
38.74	24
44.64	28
48.65	27
63.87	22
67.06	17
69.33	18

a = 8.3801 Å, b = 8.3801 Å, c = 3.1545 Å
α = 90.00°, β = 90.00°, γ = 90.00°
Space group P4/mbm (No. 127)
Asymmetric unit:
Ce 0.1214 0.3786 0.0000
In 0.0000 0.0000 0.0000
Cu 0.1689 0.6689 0.5000


5.
Computed powder XRD pattern of Ce9In2Cu for Cu Kα, 1.54184 Å, from a crystal structure in the Materials Project, relaxed with PBE.
No peak broadening, texture or thermal motion is included.

Main lines, low angle first (2θ = 10–80°):
Position (°2θ)	I/Imax
15.91	32
30.48	97
33.71	43
33.88	100
34.89	74
36.22	54
37.18	84
38.57	24
56.15	25
69.44	25

a = 10.9086 Å, b = 10.9086 Å, c = 5.5691 Å
α = 90.00°, β = 90.00°, γ = 90.00°
Space group P4/mbm (No. 127)
Asymmetric unit:
Ce 0.0000 0.5000 0.0000
Ce 0.0407 0.1821 0.0000
Ce 0.1832 0.6832 0.2576
In 0.1170 0.3830 0.5000
Cu 0.0000 0.0000 0.5000


6.
Computed powder XRD pattern of Ce2InCu2 for Cu Kα, 1.54184 Å, from a crystal structure in the Materials Project, relaxed with PBE.
No peak broadening, texture or thermal motion is included.

Main lines, low angle first (2θ = 10–80°):
Position (°2θ)	I/Imax
33.10	18
33.23	65
35.29	100
37.14	46
47.89	18
49.07	18
55.05	17
56.46	17
62.11	19
67.03	16

a = 7.6554 Å, b = 7.6554 Å, c = 3.7989 Å
α = 90.00°, β = 90.00°, γ = 90.00°
Space group P4/mbm (No. 127)
Asymmetric unit:
Ce 0.1789 0.3211 0.0000
In 0.0000 0.0000 0.5000
Cu 0.1177 0.6177 0.5000